Entry 1:
Computed X-ray powder pattern of AcLa4Dy4 for λ = 1.5418 Å (Cu Kα), from a crystal structure in Alexandria, relaxed with PBE.

The 10 most intense peaks (10° ≤ 2θ ≤ 80°), by angle:
Position (°2θ)  d [Å]  Rel. int.
29.7  3.013  34
29.7  3.006  100
34.4  2.605  45
34.5  2.603  23
49.4  1.845  16
49.5  1.840  32
58.7  1.573  19
58.8  1.570  24
58.9  1.568  14
61.6  1.506  8

Atomic structure:
a = 6.375 Å, b = 9.748 Å, c = 11.045 Å
α = 100.66°, β = 106.72°, γ = 96.37°
Positions (direct):
Ac: 0.250 0.082 0.302
Ac: 0.750 0.918 0.698
La: 0.247 0.745 0.081
La: 0.250 0.743 0.752
La: 0.251 0.417 0.530
La: 0.253 0.087 0.643
La: 0.747 0.913 0.357
La: 0.749 0.583 0.470
La: 0.750 0.257 0.248
La: 0.753 0.255 0.919
Dy: 0.240 0.743 0.414
Dy: 0.250 0.421 0.191
Dy: 0.251 0.416 0.865
Dy: 0.256 0.085 0.973
Dy: 0.744 0.915 0.027
Dy: 0.749 0.584 0.135
Dy: 0.750 0.579 0.809
Dy: 0.760 0.257 0.586

Entry 2:
Computed X-ray powder pattern of Nb4Ga5 for λ = 1.5418 Å (Cu Kα), from a crystal structure in Alexandria, relaxed with PBE.

The 10 most intense peaks (10° ≤ 2θ ≤ 80°), by angle:
Position (°2θ)  d [Å]  Rel. int.
34.4  2.608  71
36.2  2.481  52
38.5  2.338  100
45.2  2.008  60
50.8  1.798  39
61.5  1.508  11
64.3  1.448  21
69.2  1.358  16
76.0  1.252  20
76.9  1.240  12

Atomic structure:
a = 6.130 Å, b = 6.130 Å, c = 6.130 Å
α = 100.43°, β = 100.43°, γ = 129.63°
Positions (direct):
Nb: 0.053 0.339 0.391
Nb: 0.339 0.947 0.286
Nb: 0.661 0.053 0.714
Nb: 0.947 0.661 0.609
Ga: 0.000 0.000 0.000
Ga: 0.289 0.603 0.892
Ga: 0.397 0.289 0.686
Ga: 0.603 0.711 0.314
Ga: 0.711 0.397 0.108

Entry 3:
Computed X-ray powder pattern of K5Rb4Pt for λ = 1.5418 Å (Cu Kα), from a crystal structure in Alexandria, relaxed with PBE.

The 10 most intense peaks (10° ≤ 2θ ≤ 80°), by angle:
Position (°2θ)  d [Å]  Rel. int.
12.2  7.244  36
14.9  5.962  18
19.3  4.598  100
22.9  3.885  39
26.1  3.416  66
27.3  3.271  27
36.1  2.487  31
37.2  2.415  21
38.1  2.362  41
46.8  1.943  22

Atomic structure:
a = 10.754 Å, b = 10.754 Å, c = 10.754 Å
α = 95.31°, β = 95.31°, γ = 144.58°
Positions (direct):
K: 0.000 0.000 0.000
K: 0.346 0.346 0.692
K: 0.346 0.654 0.000
K: 0.654 0.346 0.000
K: 0.654 0.654 0.308
Rb: 0.000 0.325 0.325
Rb: 0.000 0.675 0.675
Rb: 0.325 0.000 0.325
Rb: 0.675 0.000 0.675
Pt: 0.500 0.500 0.000

Entry 4:
Computed X-ray powder pattern of Hf8MgN8O4 for λ = 1.5418 Å (Cu Kα), from a crystal structure in Alexandria, relaxed with PBE.

The 10 most intense peaks (10° ≤ 2θ ≤ 80°), by angle:
Position (°2θ)  d [Å]  Rel. int.
22.0  4.044  27
29.7  3.007  41
30.0  2.981  38
30.3  2.954  41
32.8  2.730  100
33.0  2.711  51
35.0  2.563  19
44.8  2.022  28
48.4  1.882  23
58.9  1.569  25

Atomic structure:
a = 5.424 Å, b = 5.456 Å, c = 10.663 Å
α = 76.02°, β = 76.49°, γ = 60.28°
Positions (direct):
Hf: 0.000 0.000 0.000
Hf: 0.078 0.120 0.715
Hf: 0.218 0.289 0.292
Hf: 0.334 0.355 0.979
Hf: 0.476 0.499 0.530
Hf: 0.568 0.666 0.215
Hf: 0.703 0.769 0.793
Hf: 0.807 0.844 0.507
Mg: 0.906 0.963 0.254
N: 0.217 0.601 0.374
N: 0.250 0.037 0.132
N: 0.332 0.752 0.877
N: 0.476 0.123 0.636
N: 0.555 0.883 0.367
N: 0.712 0.082 0.873
N: 0.772 0.509 0.630
N: 0.979 0.643 0.135
O: 0.039 0.371 0.874
O: 0.100 0.802 0.629
O: 0.597 0.312 0.139
O: 0.844 0.251 0.377

Entry 5:
Computed X-ray powder pattern of K3Na3RhCl8 for λ = 1.5418 Å (Cu Kα), from a crystal structure in Alexandria, relaxed with PBE.

The 10 most intense peaks (10° ≤ 2θ ≤ 80°), by angle:
Position (°2θ)  d [Å]  Rel. int.
12.5  7.105  28
13.0  6.823  32
13.1  6.746  65
24.9  3.579  19
29.9  2.987  60
30.2  2.956  100
42.4  2.133  32
43.7  2.071  35
44.3  2.043  15
54.4  1.686  15

Atomic structure:
a = 8.285 Å, b = 8.285 Å, c = 8.570 Å
α = 119.11°, β = 119.11°, γ = 59.10°
Positions (direct):
K: 0.000 0.000 0.000
K: 0.000 0.500 0.000
K: 0.500 0.000 0.000
Na: 0.000 0.500 0.500
Na: 0.500 0.000 0.500
Na: 0.500 0.500 0.500
Rh: 0.000 0.000 0.500
Cl: 0.204 0.780 0.689
Cl: 0.220 0.796 0.311
Cl: 0.239 0.239 0.718
Cl: 0.260 0.260 0.279
Cl: 0.740 0.740 0.721
Cl: 0.761 0.761 0.282
Cl: 0.780 0.204 0.689
Cl: 0.796 0.220 0.311

Entry 6:
Computed X-ray powder pattern of KAl4Zn9 for λ = 1.5418 Å (Cu Kα), from a crystal structure in Alexandria, relaxed with PBE.

The 10 most intense peaks (10° ≤ 2θ ≤ 80°), by angle:
Position (°2θ)  d [Å]  Rel. int.
13.9  6.354  43
14.5  6.109  32
23.3  3.818  28
34.8  2.577  100
42.1  2.146  53
42.5  2.126  96
42.9  2.109  28
43.3  2.088  47
43.5  2.081  28
44.5  2.036  27

Atomic structure:
a = 8.814 Å, b = 8.814 Å, c = 8.814 Å
α = 118.71°, β = 118.71°, γ = 92.26°
Positions (direct):
K: 0.250 0.250 0.000
K: 0.750 0.750 0.000
Al: 0.060 0.560 0.861
Al: 0.200 0.060 0.500
Al: 0.300 0.800 0.861
Al: 0.440 0.300 0.500
Al: 0.560 0.700 0.500
Al: 0.700 0.200 0.139
Al: 0.800 0.940 0.500
Al: 0.940 0.440 0.139
Zn: 0.000 0.500 0.500
Zn: 0.053 0.199 0.252
Zn: 0.057 0.795 0.500
Zn: 0.199 0.947 0.146
Zn: 0.205 0.705 0.262
Zn: 0.295 0.557 0.500
Zn: 0.301 0.447 0.748
Zn: 0.443 0.943 0.738
Zn: 0.447 0.699 0.146
Zn: 0.500 0.000 0.500
Zn: 0.553 0.301 0.854
Zn: 0.557 0.057 0.262
Zn: 0.699 0.553 0.252
Zn: 0.705 0.443 0.500
Zn: 0.795 0.295 0.738
Zn: 0.801 0.053 0.854
Zn: 0.943 0.205 0.500
Zn: 0.947 0.801 0.748

Entry 7:
Computed X-ray powder pattern of Er7Tm16Th6 for λ = 1.5418 Å (Cu Kα), from a crystal structure in Alexandria, relaxed with PBE.

The 10 most intense peaks (10° ≤ 2θ ≤ 80°), by angle:
Position (°2θ)  d [Å]  Rel. int.
28.2  3.161  30
30.0  2.980  90
32.7  2.738  100
34.3  2.618  26
34.8  2.581  37
38.6  2.335  24
46.9  1.936  16
50.0  1.825  25
51.1  1.788  17
59.4  1.556  40

Atomic structure:
a = 10.950 Å, b = 10.950 Å, c = 10.950 Å
α = 60.00°, β = 60.00°, γ = 60.00°
Positions (direct):
Er: 0.000 0.000 0.000
Er: 0.000 0.000 0.500
Er: 0.000 0.500 0.000
Er: 0.000 0.500 0.500
Er: 0.500 0.000 0.000
Er: 0.500 0.000 0.500
Er: 0.500 0.500 0.000
Tm: 0.022 0.659 0.659
Tm: 0.120 0.120 0.120
Tm: 0.120 0.120 0.641
Tm: 0.120 0.641 0.120
Tm: 0.341 0.341 0.341
Tm: 0.341 0.341 0.978
Tm: 0.341 0.978 0.341
Tm: 0.359 0.880 0.880
Tm: 0.641 0.120 0.120
Tm: 0.659 0.022 0.659
Tm: 0.659 0.659 0.022
Tm: 0.659 0.659 0.659
Tm: 0.880 0.359 0.880
Tm: 0.880 0.880 0.359
Tm: 0.880 0.880 0.880
Tm: 0.978 0.341 0.341
Th: 0.330 0.330 0.670
Th: 0.330 0.670 0.330
Th: 0.330 0.670 0.670
Th: 0.670 0.330 0.330
Th: 0.670 0.330 0.670
Th: 0.670 0.670 0.330

Entry 8:
Computed X-ray powder pattern of Rb8Hg3 for λ = 1.5418 Å (Cu Kα), from a crystal structure in Alexandria, relaxed with PBE.

The 10 most intense peaks (10° ≤ 2θ ≤ 80°), by angle:
Position (°2θ)  d [Å]  Rel. int.
14.0  6.333  12
17.1  5.171  45
28.2  3.166  100
33.2  2.700  28
40.3  2.239  19
44.1  2.055  13
49.9  1.828  41
53.1  1.724  10
58.3  1.583  13
66.0  1.416  18

Atomic structure:
a = 8.956 Å, b = 8.956 Å, c = 8.956 Å
α = 90.00°, β = 90.00°, γ = 90.00°
Positions (direct):
Rb: 0.246 0.246 0.246
Rb: 0.246 0.246 0.754
Rb: 0.246 0.754 0.246
Rb: 0.246 0.754 0.754
Rb: 0.754 0.246 0.246
Rb: 0.754 0.246 0.754
Rb: 0.754 0.754 0.246
Rb: 0.754 0.754 0.754
Hg: 0.000 0.000 0.500
Hg: 0.000 0.500 0.000
Hg: 0.500 0.000 0.000

Entry 9:
Computed X-ray powder pattern of B2C3 for λ = 1.5418 Å (Cu Kα), from a crystal structure in Alexandria, relaxed with PBE.

The 10 most intense peaks (10° ≤ 2θ ≤ 80°), by angle:
Position (°2θ)  d [Å]  Rel. int.
14.7  6.018  52
22.2  4.012  41
29.7  3.009  9
37.4  2.407  19
41.6  2.171  100
44.6  2.033  14
45.2  2.006  17
66.1  1.415  6
71.8  1.314  31
73.2  1.292  16

Atomic structure:
a = 12.131 Å, b = 12.131 Å, c = 12.131 Å
α = 12.44°, β = 12.44°, γ = 12.44°
Positions (direct):
B: 0.000 0.000 0.000
B: 0.092 0.092 0.092
B: 0.259 0.259 0.259
B: 0.620 0.620 0.620
C: 0.215 0.215 0.215
C: 0.432 0.432 0.432
C: 0.477 0.477 0.477
C: 0.664 0.664 0.664
C: 0.825 0.825 0.825
C: 0.867 0.867 0.867